This entry pairs a crystal structure of K5C3N6 with its calculated powder XRD pattern. Radiation: Cu Kα X-rays. Structure: a structure optimized by DFT (GGA-PBE).
Peak positions follow from Bragg's law for the DFT cell and can differ from measured ones.

Top 12 peaks for 2θ from 10° to 90°, low angle first:
2θ 15.51, d 5.713, I = 6; 2θ 22.01, d 4.039, I = 3; 2θ 31.32, d 2.856, I = 100; 2θ 35.13, d 2.555, I = 11; 2θ 38.61, d 2.332, I = 8; 2θ 44.88, d 2.020, I = 19; 2θ 47.76, d 1.904, I = 5; 2θ 50.52, d 1.806, I = 7; 2θ 55.74, d 1.649, I = 20; 2θ 65.34, d 1.428, I = 7; 2θ 69.86, d 1.346, I = 5; 2θ 74.25, d 1.277, I = 14

abc: 6.996 6.996 6.996
angles: 109.47 109.47 109.47
Fractional coordinates of all 14 atoms:
K 0.000 0.000 0.000
K 0.000 0.000 0.500
K 0.000 0.500 0.000
K 0.500 0.000 0.000
K 0.500 0.500 0.500
C 0.000 0.500 0.500
C 0.500 0.000 0.500
C 0.500 0.500 0.000
N 0.000 0.346 0.346
N 0.000 0.654 0.654
N 0.346 0.000 0.346
N 0.346 0.346 0.000
N 0.654 0.000 0.654
N 0.654 0.654 0.000

This entry pairs a crystal structure of KC2N3 with its calculated powder XRD pattern. Radiation: Cu Kα X-rays. Structure: a structure optimized by DFT (GGA-PBE).
Peak positions follow from Bragg's law for the DFT cell and can differ from measured ones.

Top 12 peaks for 2θ from 10° to 90°, low angle first:
2θ 16.87, d 5.255, I = 80; 2θ 18.33, d 4.840, I = 72; 2θ 18.66, d 4.756, I = 100; 2θ 19.42, d 4.571, I = 37; 2θ 24.01, d 3.707, I = 59; 2θ 26.97, d 3.306, I = 52; 2θ 28.77, d 3.103, I = 48; 2θ 32.69, d 2.739, I = 53; 2θ 32.96, d 2.718, I = 84; 2θ 34.63, d 2.590, I = 60; 2θ 34.92, d 2.570, I = 35; 2θ 36.20, d 2.481, I = 45

abc: 5.456 19.359 6.579
angles: 90.00 123.90 90.00
Fractional coordinates of all 24 atoms:
K 0.231 0.133 0.115
K 0.231 0.367 0.615
K 0.769 0.633 0.385
K 0.769 0.867 0.885
C 0.026 0.129 0.617
C 0.026 0.371 0.117
C 0.203 0.689 0.290
C 0.203 0.811 0.790
C 0.797 0.189 0.210
C 0.797 0.311 0.710
C 0.974 0.629 0.883
C 0.974 0.871 0.383
N 0.082 0.659 0.081
N 0.082 0.841 0.581
N 0.330 0.711 0.495
N 0.330 0.789 0.995
N 0.411 0.516 0.495
N 0.411 0.984 0.995
N 0.589 0.016 0.005
N 0.589 0.484 0.505
N 0.670 0.211 0.005
N 0.670 0.289 0.505
N 0.918 0.159 0.419
N 0.918 0.341 0.919

This entry pairs a crystal structure of KC2N3 with its calculated powder XRD pattern. Radiation: Cu Kα X-rays. Structure: a structure optimized by DFT (GGA-PBE).
Peak positions follow from Bragg's law for the DFT cell and can differ from measured ones.

Top 12 peaks for 2θ from 10° to 90°, low angle first:
2θ 12.46, d 7.101, I = 14; 2θ 21.92, d 4.054, I = 25; 2θ 23.13, d 3.846, I = 12; 2θ 25.39, d 3.508, I = 58; 2θ 28.02, d 3.184, I = 100; 2θ 28.19, d 3.166, I = 98; 2θ 30.46, d 2.935, I = 62; 2θ 32.35, d 2.767, I = 44; 2θ 41.27, d 2.188, I = 27; 2θ 41.86, d 2.158, I = 50; 2θ 44.94, d 2.017, I = 28; 2θ 53.80, d 1.704, I = 26

abc: 8.554 4.034 12.737
angles: 90.00 90.00 90.00
Fractional coordinates of all 24 atoms:
K 0.124 0.250 0.131
K 0.376 0.750 0.631
K 0.624 0.250 0.369
K 0.876 0.750 0.869
C 0.011 0.250 0.628
C 0.239 0.250 0.874
C 0.261 0.750 0.374
C 0.489 0.750 0.128
C 0.511 0.250 0.872
C 0.739 0.250 0.626
C 0.761 0.750 0.126
C 0.989 0.750 0.372
N 0.108 0.250 0.904
N 0.126 0.750 0.328
N 0.145 0.250 0.604
N 0.355 0.750 0.104
N 0.374 0.250 0.828
N 0.392 0.750 0.404
N 0.608 0.250 0.596
N 0.626 0.750 0.172
N 0.645 0.250 0.896
N 0.855 0.750 0.396
N 0.874 0.250 0.672
N 0.892 0.750 0.096